Theoretical XRD peak list
Compound: Mg16PaAl12
Radiation: Cu Kα (weighted mean of Kα1 and Kα2)
Structure: a DFT-relaxed cell (PBE, Alexandria)
No peak broadening, texture or thermal motion is included.

The 12 most intense peaks (15 to 90 degrees two-theta), in order of rising 2θ:
5.273 Å, 16.81 deg, I = 15; 4.305 Å, 20.63 deg, I = 36; 3.335 Å, 26.73 deg, I = 21; 2.818 Å, 31.75 deg, I = 34; 2.486 Å, 36.14 deg, I = 100; 2.358 Å, 38.17 deg, I = 12; 2.248 Å, 40.11 deg, I = 20; 2.153 Å, 41.97 deg, I = 20; 1.925 Å, 47.21 deg, I = 15; 1.711 Å, 53.57 deg, I = 13; 1.491 Å, 62.25 deg, I = 17; 1.435 Å, 64.99 deg, I = 30

Atomic structure:
```
data_Mg16PaAl12
_cell_length_a 10.5455
_cell_length_b 10.5455
_cell_length_c 10.5455
_cell_angle_alpha 90.00
_cell_angle_beta 90.00
_cell_angle_gamma 90.00
_symmetry_space_group_name_H-M 'I -4 3 m'
_symmetry_Int_Tables_number 217
_symmetry_space_group_name_Hall 'I -4 2 3'
loop_
_atom_site_label
_atom_site_type_symbol
_atom_site_fract_x
_atom_site_fract_y
_atom_site_fract_z
Mg1 Mg 0.0365 0.3576 0.3576
Mg2 Mg 0.1810 0.1810 0.8190
Pa1 Pa 0.0000 0.0000 0.0000
Al1 Al 0.0904 0.0904 0.2754
```